Entry 1:
CsPaH2F8: simulated XRD peak list (Cu Kα, 1.54184 Å), based on a crystal structure in Alexandria, relaxed with GGA-PBE.
Neutral-atom scattering factors, no anomalous dispersion.

Structure:
```
CsPaH2F8
1.0
5.3222 0.0000 0.0000
-2.6611 4.6091 0.0000
0.0000 0.0000 8.5404
Cs Pa H F
1 1 2 8
Direct
0.0000 0.0000 0.0000
0.0000 0.0000 0.5000
0.3333 0.6667 0.7935
0.6667 0.3333 0.2065
0.0272 0.3259 0.6526
0.2987 0.9728 0.6526
0.3259 0.2987 0.3474
0.3333 0.6667 0.9056
0.6667 0.3333 0.0944
0.6741 0.7013 0.6526
0.7013 0.0272 0.3474
0.9728 0.6741 0.3474
```

Largest 6 diffraction maxima, by angle, 2θ = 15–90°:
2θ 19.26, rel. 100; 2θ 20.80, rel. 25; 2θ 28.49, rel. 80; 2θ 33.68, rel. 25; 2θ 39.92, rel. 43; 2θ 44.68, rel. 25

=====

Entry 2:
CsHPdF6: simulated XRD peak list (Cu Kα, 1.54184 Å), based on a crystal structure in Alexandria, relaxed with GGA-PBE.
Neutral-atom scattering factors, no anomalous dispersion.

Structure:
```
CsHPdF6
1.0
5.2406 0.0000 0.0000
1.7586 4.9756 0.0000
0.0170 -0.0036 6.3868
Cs H Pd F
1 1 1 6
Direct
0.0000 0.0000 0.0000
0.7784 0.3087 0.4996
0.2887 0.2941 0.4996
0.0875 0.5311 0.2797
0.0882 0.5313 0.7204
0.4855 0.0524 0.2793
0.4863 0.0527 0.7190
0.5749 0.4639 0.4982
0.9980 0.1337 0.5008
```

Largest 6 diffraction maxima, by angle, 2θ = 15–90°:
2θ 17.83, rel. 38; 2θ 17.95, rel. 35; 2θ 22.67, rel. 100; 2θ 22.78, rel. 27; 2θ 24.99, rel. 54; 2θ 41.02, rel. 37

=====

Entry 3:
CsHPtF6: simulated XRD peak list (Cu Kα, 1.54184 Å), based on a crystal structure in Alexandria, relaxed with GGA-PBE.
Neutral-atom scattering factors, no anomalous dispersion.

Structure:
```
CsHPtF6
1.0
4.8968 0.0000 0.0000
2.1983 5.2923 0.0000
1.0093 0.8933 5.9365
Cs H Pt F
1 1 1 6
Direct
0.0000 0.0000 0.0000
0.8819 0.6422 0.6296
0.5050 0.4808 0.4770
0.0754 0.7151 0.5646
0.3722 0.3816 0.2415
0.4463 0.2073 0.7104
0.5650 0.7584 0.2501
0.6774 0.5891 0.7096
0.9051 0.2587 0.4035
```

Largest 6 diffraction maxima, by angle, 2θ = 15–90°:
2θ 20.87, rel. 100; 2θ 23.60, rel. 30; 2θ 24.29, rel. 39; 2θ 26.00, rel. 27; 2θ 30.54, rel. 23; 2θ 32.86, rel. 23

=====

Entry 4:
CsPuH2F6: simulated XRD peak list (Cu Kα, 1.54184 Å), based on a crystal structure in Alexandria, relaxed with GGA-PBE.
Neutral-atom scattering factors, no anomalous dispersion.

Structure:
```
CsPuH2F6
1.0
4.5031 -4.9769 0.0000
4.5031 4.9769 0.0000
-1.0834 0.0000 7.2899
Cs Pu H F
2 2 4 12
Direct
0.1360 0.8640 0.7500
0.8640 0.1360 0.2500
0.4323 0.5677 0.2500
0.5677 0.4323 0.7500
0.0696 0.3512 0.6767
0.3512 0.0696 0.1767
0.6488 0.9304 0.8233
0.9304 0.6488 0.3233
0.0845 0.5796 0.2886
0.2014 0.2813 0.6346
0.2813 0.2014 0.1346
0.3304 0.5601 0.9364
0.4204 0.9155 0.2114
0.4399 0.6696 0.5636
0.5601 0.3304 0.4364
0.5796 0.0845 0.7886
0.6696 0.4399 0.0636
0.7187 0.7986 0.8654
0.7986 0.7187 0.3654
0.9155 0.4204 0.7114
```

Largest 6 diffraction maxima, by angle, 2θ = 15–90°:
2θ 19.93, rel. 89; 2θ 21.62, rel. 100; 2θ 24.42, rel. 73; 2θ 28.30, rel. 79; 2θ 30.80, rel. 46; 2θ 41.34, rel. 44

=====

Entry 5:
CsHRhF6: simulated XRD peak list (Cu Kα, 1.54184 Å), based on a crystal structure in Alexandria, relaxed with GGA-PBE.
Neutral-atom scattering factors, no anomalous dispersion.

Structure:
```
CsHRhF6
1.0
4.8612 0.0000 0.0000
-1.9177 4.8075 0.0000
-0.2313 -0.4358 6.3736
Cs H Rh F
1 1 1 6
Direct
0.0000 0.0000 0.0000
0.0022 0.9987 0.4998
0.5021 0.4988 0.4997
0.0963 0.2287 0.5619
0.3458 0.5946 0.2455
0.4395 0.7864 0.6718
0.5645 0.2112 0.3276
0.6583 0.4032 0.7540
0.9079 0.7688 0.4376
```

Largest 6 diffraction maxima, by angle, 2θ = 15–90°:
2θ 21.43, rel. 100; 2θ 22.43, rel. 75; 2θ 23.49, rel. 74; 2θ 23.97, rel. 68; 2θ 24.86, rel. 52; 2θ 35.45, rel. 50

=====

Entry 6:
Cs2TcHF6: simulated XRD peak list (Cu Kα, 1.54184 Å), based on a crystal structure in Alexandria, relaxed with GGA-PBE.
Neutral-atom scattering factors, no anomalous dispersion.

Structure:
```
Cs2TcHF6
1.0
-3.2969 3.2969 4.6716
3.2969 -3.2969 4.6716
3.2969 3.2969 -4.6716
Cs Tc H F
2 1 1 6
Direct
0.2500 0.7500 0.5000
0.7500 0.2500 0.5000
0.0000 0.0000 0.0000
0.5000 0.5000 0.0000
0.2110 0.2110 0.0000
0.2114 0.2114 0.4228
0.2114 0.7886 0.0000
0.7886 0.2114 0.0000
0.7890 0.7890 0.0000
0.7886 0.7886 0.5772
```

Largest 6 diffraction maxima, by angle, 2θ = 15–90°:
2θ 16.45, rel. 34; 2θ 27.03, rel. 100; 2θ 33.26, rel. 24; 2θ 38.59, rel. 37; 2θ 47.75, rel. 38; 2θ 76.38, rel. 23

=====

Entry 7:
Cs2YHF6: simulated XRD peak list (Cu Kα, 1.54184 Å), based on a crystal structure in Alexandria, relaxed with GGA-PBE.
Neutral-atom scattering factors, no anomalous dispersion.

Structure:
```
Cs2YHF6
1.0
-2.8140 2.8140 5.7615
2.8140 -2.8140 5.7615
2.8140 2.8140 -5.7615
Cs Y H F
2 1 1 6
Direct
0.2500 0.7500 0.5000
0.7500 0.2500 0.5000
0.0000 0.0000 0.0000
0.5000 0.5000 0.0000
0.1894 0.1894 0.0000
0.2794 0.2794 0.5588
0.2794 0.7206 0.0000
0.7206 0.2794 0.0000
0.7206 0.7206 0.4412
0.8106 0.8106 0.0000
```

Largest 6 diffraction maxima, by angle, 2θ = 15–90°:
2θ 27.23, rel. 100; 2θ 31.04, rel. 32; 2θ 31.80, rel. 32; 2θ 35.50, rel. 34; 2θ 45.59, rel. 23; 2θ 53.92, rel. 33

=====

Entry 8:
Cs2HfF6: simulated XRD peak list (Cu Kα, 1.54184 Å), based on a crystal structure in Alexandria, relaxed with GGA-PBE.
Neutral-atom scattering factors, no anomalous dispersion.

Structure:
```
Cs2HfF6
1.0
6.7004 0.0000 0.0000
0.0000 8.3869 0.0000
-3.9837 0.0000 7.4286
Cs Hf F
4 2 12
Direct
0.1805 0.0567 0.3205
0.1805 0.4433 0.8205
0.8195 0.5567 0.1795
0.8195 0.9433 0.6795
0.5000 0.0000 0.0000
0.5000 0.5000 0.5000
0.2225 0.1130 0.9787
0.2225 0.3870 0.4787
0.3293 0.7076 0.4463
0.3293 0.7924 0.9463
0.3850 0.0326 0.7342
0.3850 0.4674 0.2342
0.6150 0.5326 0.7658
0.6150 0.9674 0.2658
0.6707 0.2076 0.0537
0.6707 0.2924 0.5537
0.7775 0.6130 0.5213
0.7775 0.8870 0.0213
```

Largest 6 diffraction maxima, by angle, 2θ = 15–90°:
2θ 21.19, rel. 72; 2θ 21.41, rel. 91; 2θ 25.59, rel. 100; 2θ 28.79, rel. 81; 2θ 30.30, rel. 38; 2θ 37.88, rel. 46

=====

- Number 4 is which compound?
  CsPuH2F6

=====

Please write out number 3 again, unchanged.
CsHPtF6: simulated XRD peak list (Cu Kα, 1.54184 Å), based on a crystal structure in Alexandria, relaxed with GGA-PBE.
Neutral-atom scattering factors, no anomalous dispersion.

Structure:
```
CsHPtF6
1.0
4.8968 0.0000 0.0000
2.1983 5.2923 0.0000
1.0093 0.8933 5.9365
Cs H Pt F
1 1 1 6
Direct
0.0000 0.0000 0.0000
0.8819 0.6422 0.6296
0.5050 0.4808 0.4770
0.0754 0.7151 0.5646
0.3722 0.3816 0.2415
0.4463 0.2073 0.7104
0.5650 0.7584 0.2501
0.6774 0.5891 0.7096
0.9051 0.2587 0.4035
```

Largest 6 diffraction maxima, by angle, 2θ = 15–90°:
2θ 20.87, rel. 100; 2θ 23.60, rel. 30; 2θ 24.29, rel. 39; 2θ 26.00, rel. 27; 2θ 30.54, rel. 23; 2θ 32.86, rel. 23